No. 1
For Nd4CdIr, a DFT-relaxed cell (PBE, the Materials Project) gives the calculated powder X-ray diffraction pattern in this record (a wavelength of 1.5418 Å).
Lines closer than 0.1° are merged.

Crystal structure
```
data_Nd4CdIr
_cell_length_a 9.954
_cell_length_b 9.954
_cell_length_c 9.954
_cell_angle_alpha 60.00
_cell_angle_beta 60.00
_cell_angle_gamma 60.00
_symmetry_space_group_name_H-M 'P 1'
_symmetry_Int_Tables_number 1
_symmetry_space_group_name_Hall 'P 1'
loop_
_atom_site_label
_atom_site_fract_x
_atom_site_fract_y
_atom_site_fract_z
Nd1 0.188 0.188 0.812
Nd2 0.188 0.812 0.188
Nd3 0.188 0.812 0.812
Nd4 0.402 0.402 0.402
Nd5 0.402 0.402 0.793
Nd6 0.402 0.793 0.402
Nd7 0.560 0.560 0.940
Nd8 0.560 0.940 0.560
Nd9 0.560 0.940 0.940
Nd10 0.793 0.402 0.402
Nd11 0.812 0.188 0.188
Nd12 0.812 0.188 0.812
Nd13 0.812 0.812 0.188
Nd14 0.940 0.560 0.560
Nd15 0.940 0.560 0.940
Nd16 0.940 0.940 0.560
Cd1 0.170 0.170 0.170
Cd2 0.170 0.170 0.489
Cd3 0.170 0.489 0.170
Cd4 0.489 0.170 0.170
Ir1 0.175 0.608 0.608
Ir2 0.608 0.175 0.608
Ir3 0.608 0.608 0.175
Ir4 0.608 0.608 0.608
```

The 12 most intense peaks (10 to 90 degrees two-theta), by angle:
2θ 10.89, intensity 13.1; 2θ 27.62, intensity 13.3; 2θ 31.13, intensity 39.1; 2θ 33.07, intensity 100.0; 2θ 36.09, intensity 36.2; 2θ 37.81, intensity 11.0; 2θ 55.38, intensity 39.9; 2θ 56.63, intensity 14.4; 2θ 66.04, intensity 12.4; 2θ 69.01, intensity 12.7; 2θ 83.21, intensity 13.4; 2θ 84.94, intensity 13.5

No. 2
For Pr4CdIr, a DFT-relaxed cell (PBE, the Materials Project) gives the calculated powder X-ray diffraction pattern in this record (a wavelength of 1.5418 Å).
Lines closer than 0.1° are merged.

Crystal structure
```
data_Pr4CdIr
_cell_length_a 10.033
_cell_length_b 10.033
_cell_length_c 10.033
_cell_angle_alpha 60.00
_cell_angle_beta 60.00
_cell_angle_gamma 60.00
_symmetry_space_group_name_H-M 'P 1'
_symmetry_Int_Tables_number 1
_symmetry_space_group_name_Hall 'P 1'
loop_
_atom_site_label
_atom_site_fract_x
_atom_site_fract_y
_atom_site_fract_z
Pr1 0.188 0.188 0.812
Pr2 0.188 0.812 0.188
Pr3 0.188 0.812 0.812
Pr4 0.403 0.403 0.403
Pr5 0.403 0.403 0.792
Pr6 0.403 0.792 0.403
Pr7 0.560 0.560 0.940
Pr8 0.560 0.940 0.560
Pr9 0.560 0.940 0.940
Pr10 0.792 0.403 0.403
Pr11 0.812 0.188 0.188
Pr12 0.812 0.188 0.812
Pr13 0.812 0.812 0.188
Pr14 0.940 0.560 0.560
Pr15 0.940 0.560 0.940
Pr16 0.940 0.940 0.560
Cd1 0.170 0.170 0.170
Cd2 0.170 0.170 0.489
Cd3 0.170 0.489 0.170
Cd4 0.489 0.170 0.170
Ir1 0.175 0.608 0.608
Ir2 0.608 0.175 0.608
Ir3 0.608 0.608 0.175
Ir4 0.608 0.608 0.608
```

The 12 most intense peaks (10 to 90 degrees two-theta), by angle:
2θ 10.80, intensity 13.6; 2θ 27.40, intensity 12.7; 2θ 30.87, intensity 38.6; 2θ 32.80, intensity 100.0; 2θ 35.80, intensity 36.6; 2θ 37.50, intensity 11.1; 2θ 54.91, intensity 39.7; 2θ 56.14, intensity 14.5; 2θ 65.45, intensity 12.3; 2θ 68.39, intensity 13.0; 2θ 82.41, intensity 13.3; 2θ 84.12, intensity 13.6

No. 3
For Sm4CdIr, a DFT-relaxed cell (PBE, the Materials Project) gives the calculated powder X-ray diffraction pattern in this record (a wavelength of 1.5418 Å).
Lines closer than 0.1° are merged.

Crystal structure
```
data_Sm4CdIr
_cell_length_a 9.837
_cell_length_b 9.837
_cell_length_c 9.837
_cell_angle_alpha 60.00
_cell_angle_beta 60.00
_cell_angle_gamma 60.00
_symmetry_space_group_name_H-M 'P 1'
_symmetry_Int_Tables_number 1
_symmetry_space_group_name_Hall 'P 1'
loop_
_atom_site_label
_atom_site_fract_x
_atom_site_fract_y
_atom_site_fract_z
Sm1 0.187 0.187 0.813
Sm2 0.187 0.813 0.187
Sm3 0.187 0.813 0.813
Sm4 0.402 0.402 0.402
Sm5 0.402 0.402 0.795
Sm6 0.402 0.795 0.402
Sm7 0.561 0.561 0.939
Sm8 0.561 0.939 0.561
Sm9 0.561 0.939 0.939
Sm10 0.795 0.402 0.402
Sm11 0.813 0.187 0.187
Sm12 0.813 0.187 0.813
Sm13 0.813 0.813 0.187
Sm14 0.939 0.561 0.561
Sm15 0.939 0.561 0.939
Sm16 0.939 0.939 0.561
Cd1 0.169 0.169 0.169
Cd2 0.169 0.169 0.492
Cd3 0.169 0.492 0.169
Cd4 0.492 0.169 0.169
Ir1 0.175 0.608 0.608
Ir2 0.608 0.175 0.608
Ir3 0.608 0.608 0.175
Ir4 0.608 0.608 0.608
```

The 12 most intense peaks (10 to 90 degrees two-theta), by angle:
2θ 11.02, intensity 12.2; 2θ 27.96, intensity 14.4; 2θ 31.50, intensity 39.7; 2θ 33.47, intensity 100.0; 2θ 36.54, intensity 36.3; 2θ 50.38, intensity 10.5; 2θ 56.10, intensity 39.9; 2θ 57.36, intensity 14.3; 2θ 66.92, intensity 12.6; 2θ 69.95, intensity 12.5; 2θ 84.42, intensity 13.4; 2θ 86.19, intensity 13.7

No. 4
For Tm4CdIr, a DFT-relaxed cell (PBE, the Materials Project) gives the calculated powder X-ray diffraction pattern in this record (a wavelength of 1.5418 Å).
Lines closer than 0.1° are merged.

Crystal structure
```
data_Tm4CdIr
_cell_length_a 9.528
_cell_length_b 9.528
_cell_length_c 9.528
_cell_angle_alpha 60.00
_cell_angle_beta 60.00
_cell_angle_gamma 60.00
_symmetry_space_group_name_H-M 'P 1'
_symmetry_Int_Tables_number 1
_symmetry_space_group_name_Hall 'P 1'
loop_
_atom_site_label
_atom_site_fract_x
_atom_site_fract_y
_atom_site_fract_z
Tm1 0.188 0.188 0.812
Tm2 0.188 0.812 0.188
Tm3 0.188 0.812 0.812
Tm4 0.401 0.401 0.401
Tm5 0.401 0.401 0.797
Tm6 0.401 0.797 0.401
Tm7 0.560 0.560 0.940
Tm8 0.560 0.940 0.560
Tm9 0.560 0.940 0.940
Tm10 0.797 0.401 0.401
Tm11 0.812 0.188 0.188
Tm12 0.812 0.188 0.812
Tm13 0.812 0.812 0.188
Tm14 0.940 0.560 0.560
Tm15 0.940 0.560 0.940
Tm16 0.940 0.940 0.560
Cd1 0.168 0.168 0.168
Cd2 0.168 0.168 0.495
Cd3 0.168 0.495 0.168
Cd4 0.495 0.168 0.168
Ir1 0.176 0.608 0.608
Ir2 0.608 0.176 0.608
Ir3 0.608 0.608 0.176
Ir4 0.608 0.608 0.608
```

The 12 most intense peaks (10 to 90 degrees two-theta), by angle:
2θ 11.37, intensity 11.0; 2θ 28.88, intensity 17.4; 2θ 32.55, intensity 41.8; 2θ 34.59, intensity 100.0; 2θ 37.77, intensity 36.5; 2θ 52.14, intensity 10.8; 2θ 58.08, intensity 40.8; 2θ 59.40, intensity 14.1; 2θ 69.39, intensity 12.4; 2θ 72.57, intensity 12.6; 2θ 87.84, intensity 13.9; 2θ 89.71, intensity 14.9

No. 5
For KCd13, a DFT-relaxed cell (PBE, the Materials Project) gives the calculated powder X-ray diffraction pattern in this record (a wavelength of 1.5418 Å).
Lines closer than 0.1° are merged.

Crystal structure
```
data_KCd13
_cell_length_a 9.977
_cell_length_b 9.977
_cell_length_c 9.977
_cell_angle_alpha 60.00
_cell_angle_beta 60.00
_cell_angle_gamma 60.00
_symmetry_space_group_name_H-M 'P 1'
_symmetry_Int_Tables_number 1
_symmetry_space_group_name_Hall 'P 1'
loop_
_atom_site_label
_atom_site_fract_x
_atom_site_fract_y
_atom_site_fract_z
K1 0.250 0.250 0.250
K2 0.750 0.750 0.750
Cd1 0.000 0.000 0.000
Cd2 0.059 0.301 0.699
Cd3 0.059 0.699 0.941
Cd4 0.059 0.941 0.301
Cd5 0.199 0.441 0.801
Cd6 0.199 0.559 0.441
Cd7 0.199 0.801 0.559
Cd8 0.301 0.059 0.941
Cd9 0.301 0.699 0.059
Cd10 0.301 0.941 0.699
Cd11 0.441 0.199 0.559
Cd12 0.441 0.559 0.801
Cd13 0.441 0.801 0.199
Cd14 0.500 0.500 0.500
Cd15 0.559 0.199 0.801
Cd16 0.559 0.441 0.199
Cd17 0.559 0.801 0.441
Cd18 0.699 0.059 0.301
Cd19 0.699 0.301 0.941
Cd20 0.699 0.941 0.059
Cd21 0.801 0.199 0.441
Cd22 0.801 0.441 0.559
Cd23 0.801 0.559 0.199
Cd24 0.941 0.059 0.699
Cd25 0.941 0.301 0.059
Cd26 0.941 0.699 0.301
```

The 12 most intense peaks (10 to 90 degrees two-theta), by angle:
2θ 12.55, intensity 33.0; 2θ 28.29, intensity 10.5; 2θ 31.05, intensity 43.0; 2θ 37.72, intensity 100.0; 2θ 38.27, intensity 50.7; 2θ 59.70, intensity 19.0; 2θ 62.83, intensity 9.1; 2θ 64.73, intensity 8.8; 2θ 66.24, intensity 9.5; 2θ 71.74, intensity 14.7; 2θ 77.42, intensity 10.2; 2θ 79.16, intensity 7.8

No. 6
For KMg14Cd, a DFT-relaxed cell (PBE, the Materials Project) gives the calculated powder X-ray diffraction pattern in this record (a wavelength of 1.5418 Å).
Lines closer than 0.1° are merged.

Crystal structure
```
data_KMg14Cd
_cell_length_a 6.532
_cell_length_b 6.532
_cell_length_c 10.567
_cell_angle_alpha 90.00
_cell_angle_beta 90.00
_cell_angle_gamma 120.00
_symmetry_space_group_name_H-M 'P 1'
_symmetry_Int_Tables_number 1
_symmetry_space_group_name_Hall 'P 1'
loop_
_atom_site_label
_atom_site_fract_x
_atom_site_fract_y
_atom_site_fract_z
K1 0.000 0.000 0.000
Mg1 0.007 0.504 0.000
Mg2 0.171 0.342 0.263
Mg3 0.171 0.342 0.737
Mg4 0.171 0.829 0.263
Mg5 0.171 0.829 0.737
Mg6 0.496 0.504 0.000
Mg7 0.496 0.993 0.000
Mg8 0.502 0.003 0.500
Mg9 0.502 0.498 0.500
Mg10 0.658 0.829 0.263
Mg11 0.658 0.829 0.737
Mg12 0.667 0.333 0.245
Mg13 0.667 0.333 0.755
Mg14 0.997 0.498 0.500
Cd1 0.000 0.000 0.500
```

The 12 most intense peaks (10 to 90 degrees two-theta), by angle:
2θ 15.67, intensity 19.2; 2θ 17.79, intensity 16.3; 2θ 23.03, intensity 19.1; 2θ 31.63, intensity 26.7; 2θ 33.93, intensity 25.3; 2θ 36.02, intensity 100.0; 2θ 37.57, intensity 8.0; 2θ 47.07, intensity 16.6; 2θ 56.34, intensity 17.0; 2θ 62.08, intensity 17.7; 2θ 67.42, intensity 18.5; 2θ 68.71, intensity 13.6

No. 7
For KMg14Cd, a DFT-relaxed cell (PBE, the Materials Project) gives the calculated powder X-ray diffraction pattern in this record (a wavelength of 1.5418 Å).
Lines closer than 0.1° are merged.

Crystal structure
```
data_KMg14Cd
_cell_length_a 10.570
_cell_length_b 6.522
_cell_length_c 6.522
_cell_angle_alpha 59.92
_cell_angle_beta 90.00
_cell_angle_gamma 90.00
_symmetry_space_group_name_H-M 'P 1'
_symmetry_Int_Tables_number 1
_symmetry_space_group_name_Hall 'P 1'
loop_
_atom_site_label
_atom_site_fract_x
_atom_site_fract_y
_atom_site_fract_z
K1 0.000 0.000 0.000
Mg1 0.000 0.008 0.495
Mg2 0.000 0.495 0.008
Mg3 0.245 0.666 0.666
Mg4 0.261 0.173 0.657
Mg5 0.261 0.657 0.173
Mg6 0.263 0.172 0.172
Mg7 0.500 0.000 0.000
Mg8 0.500 0.000 0.501
Mg9 0.500 0.500 0.500
Mg10 0.500 0.501 0.000
Mg11 0.737 0.172 0.172
Mg12 0.739 0.173 0.657
Mg13 0.739 0.657 0.173
Mg14 0.755 0.666 0.666
Cd1 0.000 0.496 0.496
```

The 12 most intense peaks (10 to 90 degrees two-theta), by angle:
2θ 15.69, intensity 14.4; 2θ 17.81, intensity 21.0; 2θ 23.05, intensity 11.0; 2θ 31.70, intensity 26.6; 2θ 32.84, intensity 7.7; 2θ 33.93, intensity 25.6; 2θ 36.07, intensity 100.0; 2θ 47.11, intensity 16.7; 2θ 56.46, intensity 16.9; 2θ 62.11, intensity 18.1; 2θ 67.52, intensity 18.6; 2θ 68.85, intensity 13.5

No. 8
For KCdN3, a DFT-relaxed cell (PBE, the Materials Project) gives the calculated powder X-ray diffraction pattern in this record (a wavelength of 1.5418 Å).
Lines closer than 0.1° are merged.

Crystal structure
```
data_KCdN3
_cell_length_a 4.567
_cell_length_b 4.567
_cell_length_c 4.567
_cell_angle_alpha 90.00
_cell_angle_beta 90.00
_cell_angle_gamma 90.00
_symmetry_space_group_name_H-M 'P 1'
_symmetry_Int_Tables_number 1
_symmetry_space_group_name_Hall 'P 1'
loop_
_atom_site_label
_atom_site_fract_x
_atom_site_fract_y
_atom_site_fract_z
K1 0.000 0.000 0.000
Cd1 0.500 0.500 0.500
N1 0.000 0.500 0.500
N2 0.500 0.000 0.500
N3 0.500 0.500 0.000
```

The 12 most intense peaks (10 to 90 degrees two-theta), by angle:
2θ 19.44, intensity 45.1; 2θ 27.62, intensity 100.0; 2θ 39.46, intensity 35.4; 2θ 44.35, intensity 20.8; 2θ 48.85, intensity 40.1; 2θ 57.04, intensity 21.2; 2θ 60.85, intensity 9.6; 2θ 64.52, intensity 16.8; 2θ 71.57, intensity 6.7; 2θ 74.98, intensity 4.1; 2θ 78.34, intensity 19.0; 2θ 88.21, intensity 5.6

No. 9
For KCdO3, a DFT-relaxed cell (PBE, the Materials Project) gives the calculated powder X-ray diffraction pattern in this record (a wavelength of 1.5418 Å).
Lines closer than 0.1° are merged.

Crystal structure
```
data_KCdO3
_cell_length_a 4.340
_cell_length_b 4.340
_cell_length_c 4.340
_cell_angle_alpha 90.00
_cell_angle_beta 90.00
_cell_angle_gamma 90.00
_symmetry_space_group_name_H-M 'P 1'
_symmetry_Int_Tables_number 1
_symmetry_space_group_name_Hall 'P 1'
loop_
_atom_site_label
_atom_site_fract_x
_atom_site_fract_y
_atom_site_fract_z
K1 0.000 0.000 0.000
Cd1 0.500 0.500 0.500
O1 0.000 0.500 0.500
O2 0.500 0.000 0.500
O3 0.500 0.500 0.000
```

The 12 most intense peaks (10 to 90 degrees two-theta), by angle:
2θ 20.46, intensity 50.9; 2θ 29.10, intensity 100.0; 2θ 35.84, intensity 1.2; 2θ 41.62, intensity 39.4; 2θ 46.81, intensity 22.6; 2θ 51.59, intensity 38.7; 2θ 60.32, intensity 23.0; 2θ 64.40, intensity 10.2; 2θ 68.35, intensity 16.2; 2θ 75.96, intensity 7.2; 2θ 79.66, intensity 4.4; 2θ 83.31, intensity 18.9